[1]
MgBr2: theoretical powder X-ray diffraction pattern (CuKα), based on DFT lattice parameters and positions (PBE).
Neutral-atom scattering factors, no anomalous dispersion.

Peak list (10 most intense, 10° ≤ 2θ ≤ 90°, in order of rising 2θ)
Position (°2θ)	Rel. int.	hkl
12.60	26	0 0 1
25.35	19	0 0 2
26.49	11	1 0 0
29.44	100	1 0 1
37.00	38	1 0 2
46.77	25	1 1 0
47.29	25	0 1 3
53.94	14	1 1 2
56.23	15	0 2 1
76.07	13	2 1 1

Structural model:
Cell: 3.8848 3.8848 7.0261 Å, 90.00 90.00 120.00°
Space group P-3m1 (No. 164)
Asymmetric unit:
Mg  0.0000  0.0000  0.0000 [1 per cell]
Br  0.3333  0.6667  0.7854 [2 per cell]

---

[2]
Mg3Br: theoretical powder X-ray diffraction pattern (CuKα), based on DFT lattice parameters and positions (PBE).
Neutral-atom scattering factors, no anomalous dispersion.

Peak list (10 most intense, 10° ≤ 2θ ≤ 90°, in order of rising 2θ)
Position (°2θ)	Rel. int.	hkl
16.50	18	0 0 2
22.04	37	1 0 1
32.37	14	1 0 3
33.35	25	0 0 4
33.56	100	1 1 2
41.50	27	2 0 0
54.25	24	2 0 4
59.74	18	1 1 6
70.65	21	3 1 2
89.89	11	3 1 6

Structural model:
Cell: 4.352 4.352 10.747 Å, 90.00 90.00 90.00°
Space group I4/mmm (No. 139)
Asymmetric unit:
Mg  0.000  0.000  0.000 [2 per cell]
Mg  0.000  0.500  0.250 [4 per cell]
Br  0.000  0.000  0.500 [2 per cell]

---

[3]
MgV2S4Br4N6: theoretical powder X-ray diffraction pattern (CuKα), based on DFT lattice parameters and positions (PBE).
Neutral-atom scattering factors, no anomalous dispersion.

Peak list (10 most intense, 10° ≤ 2θ ≤ 90°, in order of rising 2θ)
Position (°2θ)	Rel. int.	hkl
10.48	74	0 0 1
15.46	85	0 1 -1
20.35	44	1 -1 1
23.79	32	1 0 -2
24.96	64	0 2 0
28.22	59	1 -1 2
28.77	53	1 1 -2
31.60	100	-1 2 2
32.33	74	2 0 0
32.59	33	2 -2 0

Structural model:
Cell: 6.084 7.710 8.620 Å, 91.34 100.30 111.64°
Space group P1 (No. 1)
Asymmetric unit:
Mg  0.000  0.000  0.000 [1 per cell]
V  0.430  0.478  0.357 [1 per cell]
V  0.927  0.491  0.591 [1 per cell]
S  0.436  0.208  0.661 [1 per cell]
S  0.471  0.724  0.071 [1 per cell]
S  0.873  0.278  0.891 [1 per cell]
S  0.924  0.765  0.291 [1 per cell]
Br  0.358  0.707  0.545 [1 per cell]
Br  0.401  0.182  0.176 [1 per cell]
Br  0.957  0.808  0.754 [1 per cell]
Br  0.995  0.261  0.401 [1 per cell]
N  0.011  0.398  0.766 [1 per cell]
N  0.350  0.582  0.186 [1 per cell]
N  0.584  0.168  0.818 [1 per cell]
N  0.590  0.358  0.562 [1 per cell]
N  0.764  0.608  0.382 [1 per cell]
N  0.770  0.818  0.136 [1 per cell]